# La3BiN
Theoretical X-ray powder pattern, a wavelength of 1.5418 Å. Input: a PBE-relaxed structure.

Cell and atoms:
```
La3BiN
1.0
7.352 0.000 0.000
0.000 5.767 0.000
-1.806 0.000 7.183
La Bi N
6 2 2
Direct
0.079 0.000 0.347
0.241 0.004 0.868
0.407 0.518 0.617
0.593 0.018 0.383
0.759 0.504 0.132
0.921 0.500 0.653
0.283 0.509 0.136
0.717 0.009 0.864
0.162 0.762 0.613
0.838 0.262 0.387
```

Principal peaks in the range 10 to 80 degrees two-theta, most intense first:
| (hkl) | Position (°2θ) | I/Imax |
| --- | --- | --- |
| 0 1 2 | 29.30 | 100 |
| 2 1 -1 | 29.48 | 81 |
| 0 2 0 | 31.01 | 42 |
| 0 3 2 | 54.13 | 24 |
| 2 0 1 | 30.59 | 18 |
| 2 2 1 | 44.12 | 16 |
| 0 2 4 | 60.76 | 14 |
| 4 1 1 | 58.55 | 13 |
| 4 1 -3 | 58.76 | 13 |
| 2 0 -3 | 39.91 | 13 |